(1)
Structure and calculated powder X-ray diffraction pattern of HfGeB2 (a crystal structure in the Materials Project, relaxed with PBE; Cu Kα (weighted mean of Kα1 and Kα2)).

Crystal structure
a = 6.0484 Å, b = 6.0484 Å, c = 6.0484 Å
α = 90.00°, β = 90.00°, γ = 90.00°
Atoms (fractional coordinates):
Hf: 0.0000 0.0000 0.0000
Hf: 0.0000 0.5000 0.5000
Hf: 0.5000 0.0000 0.5000
Hf: 0.5000 0.5000 0.0000
Ge: 0.2500 0.2500 0.2500
Ge: 0.2500 0.7500 0.7500
Ge: 0.7500 0.2500 0.7500
Ge: 0.7500 0.7500 0.2500
B: 0.0000 0.0000 0.5000
B: 0.0000 0.5000 0.0000
B: 0.2500 0.2500 0.7500
B: 0.2500 0.7500 0.2500
B: 0.5000 0.0000 0.0000
B: 0.5000 0.5000 0.5000
B: 0.7500 0.2500 0.2500
B: 0.7500 0.7500 0.7500

Top 10 peaks for 10° ≤ 2θ ≤ 90°, low angle first:
d/Å, I (rel.)
3.492, 100
3.024, 16
2.138, 87
1.824, 50
1.746, 5
1.512, 14
1.388, 21
1.352, 6
1.235, 29
1.164, 16

=====

(2)
Structure and calculated powder X-ray diffraction pattern of K2GeB4O11 (a crystal structure in the Materials Project, relaxed with PBE; Cu Kα (weighted mean of Kα1 and Kα2)).

Crystal structure
a = 7.0130 Å, b = 7.0130 Å, c = 12.0295 Å
α = 90.71°, β = 90.71°, γ = 121.57°
Atoms (fractional coordinates):
K: 0.0436 0.9564 0.5000
K: 0.1753 0.6704 0.2281
K: 0.6704 0.1753 0.7281
K: 0.9564 0.0436 0.0000
Ge: 0.2447 0.6604 0.9047
Ge: 0.6604 0.2447 0.4047
B: 0.1221 0.4493 0.4693
B: 0.1854 0.5618 0.6674
B: 0.4179 0.8217 0.5185
B: 0.4493 0.1221 0.9693
B: 0.5184 0.5533 0.4551
B: 0.5533 0.5184 0.9551
B: 0.5618 0.1854 0.1674
B: 0.8217 0.4179 0.0185
O: 0.0541 0.3969 0.5892
O: 0.0646 0.5030 0.0123
O: 0.1180 0.5077 0.7777
O: 0.2150 0.6871 0.4509
O: 0.2968 0.3896 0.4468
O: 0.3036 0.9346 0.8925
O: 0.3654 0.7660 0.6403
O: 0.3896 0.2968 0.9468
O: 0.3969 0.0541 0.0892
O: 0.5030 0.0646 0.5123
O: 0.5077 0.1180 0.2777
O: 0.5086 0.6863 0.9323
O: 0.5929 0.7718 0.4861
O: 0.6863 0.5086 0.4323
O: 0.6871 0.2150 0.9509
O: 0.7409 0.8072 0.2157
O: 0.7660 0.3654 0.1403
O: 0.7718 0.5929 0.9861
O: 0.8072 0.7409 0.7157
O: 0.9295 0.9607 0.2463
O: 0.9346 0.3036 0.3925
O: 0.9607 0.9295 0.7463

Top 10 peaks for 10° ≤ 2θ ≤ 90°, low angle first:
d/Å, I (rel.)
6.121, 84
6.012, 100
5.303, 26
3.505, 81
3.422, 28
3.359, 71
3.295, 49
3.061, 31
3.007, 63
2.248, 25